The following is a theoretical powder diffraction line list of LiFeOF2. It was derived from a DFT-relaxed cell (PBE+U, the Materials Project), using Cu Kα X-rays.

Structure:
```
LiFeOF2
1.0
5.1464 0.0000 0.0000
2.5273 4.9195 0.0000
0.2272 2.7092 8.5112
Li Fe O F
4 4 4 8
Cartesian
0.0000 0.0000 0.0000
2.4854 5.1201 2.9663
5.2423 6.5341 7.5210
4.9271 2.9703 2.0856
2.6121 4.1960 6.3385
2.4533 2.0675 0.7703
5.0716 6.1578 4.3436
5.0800 3.2319 4.9169
1.7606 2.6789 5.3684
2.0212 3.5048 8.0682
3.7565 4.7401 4.8317
4.2632 1.9312 3.8660
1.6215 1.5336 2.5327
3.2147 3.7533 1.6392
3.4645 5.6600 7.5896
4.2932 2.9444 6.7514
4.1998 1.2593 1.1703
5.8497 4.3193 3.3599
6.0823 5.2657 6.0455
6.0686 3.3270 0.5211
```

Peak list (6 most intense, 2θ from 10° to 90°, in order of falling intensity)
index  d (Å)  I/Imax
1 2 3  2.271  1000
0 0 2  4.264  926
0 0 1  8.511  873
0 1 0  4.688  612
1 1 -3  2.230  521
1 2 -3  1.717  463